The following is a simulated X-ray diffraction stick pattern of PtRh4W2. It was derived from the GGA-PBE geometry in Alexandria, using Cu Kα X-rays.

The 8 most intense peaks (2θ from 5° to 70°), low angle first:
d_spacing  I (rel.)
3.284  29.5
2.788  17.2
2.358  73.5
2.144  100.0
1.864  9.8
1.758  9.3
1.668  9.2
1.519  10.7

Crystal structure
```
PtRh4W2
1.0
-3.7289 3.7289 4.1968
3.7289 -3.7289 4.1968
3.7289 3.7289 -4.1968
Pt Rh W
2 8 4
direct
0.2500 0.2500 0.0000
0.7500 0.7500 0.0000
0.0118 0.5118 0.2041
0.1924 0.9882 0.5000
0.3076 0.8076 0.7959
0.4882 0.6924 0.5000
0.5118 0.3076 0.5000
0.6924 0.1924 0.2041
0.8076 0.0118 0.5000
0.9882 0.4882 0.7959
0.1478 0.3522 0.5000
0.3522 0.8522 0.2044
0.6478 0.1478 0.7956
0.8522 0.6478 0.5000
```

The following is a simulated X-ray diffraction stick pattern of NiH6N2Cl2. It was derived from the GGA-PBE geometry in Alexandria, using Cu Kα X-rays.

The 8 most intense peaks (2θ from 5° to 70°), low angle first:
d_spacing  I (rel.)
5.734  100.0
4.045  32.9
2.729  54.6
2.560  16.0
2.330  14.0
2.134  15.3
2.081  13.0
2.023  11.9

Crystal structure
```
NiH6N2Cl2
1.0
4.0595 -4.0638 0.0000
4.0595 4.0638 0.0000
-0.3088 0.0000 3.6829
Ni H N Cl
1 6 2 2
direct
0.0000 0.0000 0.0000
0.2009 0.4038 0.1708
0.2977 0.2953 0.7879
0.4038 0.1998 0.1729
0.5962 0.7991 0.8292
0.7047 0.7023 0.2121
0.8002 0.5962 0.8271
0.2526 0.2517 0.0386
0.7483 0.7474 0.9614
0.2061 0.7939 0.5000
0.7943 0.2057 0.5000
```

The following is a simulated X-ray diffraction stick pattern of Sn3Pt12Au. It was derived from the GGA-PBE geometry in Alexandria, using Cu Kα X-rays.

The 8 most intense peaks (2θ from 5° to 70°), low angle first:
d_spacing  I (rel.)
16.222  1.5
4.049  1.6
2.863  1.3
2.338  100.0
2.028  16.4
2.023  32.9
1.653  0.5
1.432  32.7

Crystal structure
```
Sn3Pt12Au
1.0
4.0458 0.0000 0.0000
0.0000 4.0458 0.0000
0.0000 0.0000 16.2222
Sn Pt Au
3 12 1
direct
0.0000 0.0000 0.0000
0.0000 0.0000 0.2555
0.0000 0.0000 0.7445
0.0000 0.5000 0.1252
0.0000 0.5000 0.3749
0.0000 0.5000 0.6251
0.0000 0.5000 0.8748
0.5000 0.0000 0.1252
0.5000 0.0000 0.3749
0.5000 0.0000 0.6251
0.5000 0.0000 0.8748
0.5000 0.5000 0.0000
0.5000 0.5000 0.2480
0.5000 0.5000 0.5000
0.5000 0.5000 0.7520
0.0000 0.0000 0.5000
```